(1)
This entry pairs a crystal structure of AcPm4Y6 with its computed powder XRD pattern. Radiation: a wavelength of 1.5418 Å. Structure: a cell relaxed with GGA-PBE.
Neutral-atom scattering factors, no anomalous dispersion.

Peak list (10 most intense, 2θ = 10–90°, most intense first)
2θ/deg  d/Å  intensity
31.24  2.863  100.0
29.76  3.002  68.9
30.36  2.944  65.8
30.06  2.973  49.6
32.65  2.743  38.1
43.25  2.092  36.5
54.50  1.684  25.9
20.34  4.366  22.5
31.43  2.846  20.2
56.30  1.634  18.4

Atomic structure:
Lattice parameters (Å, degrees): 5.7291 5.7291 26.1292 90.00 90.00 118.15
Fractional coordinates of all 22 atoms:
Ac 0.1906 0.8094 0.7500
Ac 0.8094 0.1906 0.2500
Pm 0.1572 0.8428 0.0430
Pm 0.1572 0.8428 0.4570
Pm 0.4683 0.5317 0.1228
Pm 0.4683 0.5317 0.3772
Pm 0.5317 0.4683 0.6228
Pm 0.5317 0.4683 0.8772
Pm 0.8428 0.1572 0.5430
Pm 0.8428 0.1572 0.9570
Y 0.1401 0.8599 0.1804
Y 0.1401 0.8599 0.3196
Y 0.1892 0.8108 0.5991
Y 0.1892 0.8108 0.9009
Y 0.4726 0.5274 0.2500
Y 0.5000 0.5000 0.0000
Y 0.5000 0.5000 0.5000
Y 0.5274 0.4726 0.7500
Y 0.8108 0.1892 0.0991
Y 0.8108 0.1892 0.4009
Y 0.8599 0.1401 0.6804
Y 0.8599 0.1401 0.8196



(2)
This entry pairs a crystal structure of Ac8Pm2Y3 with its computed powder XRD pattern. Radiation: a wavelength of 1.5418 Å. Structure: a cell relaxed with GGA-PBE.
Neutral-atom scattering factors, no anomalous dispersion.

Peak list (10 most intense, 2θ = 10–90°, most intense first)
2θ/deg  d/Å  intensity
32.93  2.720  100.0
28.38  3.145  98.0
28.34  3.149  50.4
28.57  3.125  48.5
47.13  1.928  37.4
55.98  1.643  37.4
47.39  1.918  36.5
56.08  1.640  22.2
56.27  1.635  22.0
58.66  1.574  13.0

Atomic structure:
Lattice parameters (Å, degrees): 6.6706 6.6845 12.1234 89.99 79.17 80.40
Fractional coordinates of all 13 atoms:
Ac 0.0419 0.0831 0.3500
Ac 0.1967 0.3838 0.7238
Ac 0.3410 0.6933 0.1168
Ac 0.4193 0.8456 0.8063
Ac 0.5807 0.1544 0.1937
Ac 0.6590 0.3067 0.8832
Ac 0.8033 0.6162 0.2762
Ac 0.9581 0.9169 0.6500
Pm 0.1126 0.2333 0.0371
Pm 0.8874 0.7667 0.9629
Y 0.2741 0.5378 0.4271
Y 0.5000 0.0000 0.5000
Y 0.7259 0.4622 0.5729